# 1
Structure and calculated powder diffractogram of CsAl2AgF8 (a DFT-relaxed cell (GGA-PBE, Alexandria); copper Kα).
No peak broadening, texture or thermal motion is included.

Cell and atoms:
Cell lengths 5.7068, 5.7068, 24.1444 Å; angles 90.00, 90.00, 120.00 degrees
Space group R-3 (No. 148, hexagonal axes)
One atom of each set of equivalent atoms:
1 Cs 0.0000 0.0000 0.0000
2 Al 0.0000 0.0000 0.2450
3 Ag 0.0000 0.0000 0.5000
4 F 0.0000 0.0000 0.3156
5 F 0.0096 0.2898 0.7754

The 10 most intense peaks (10° ≤ 2θ ≤ 80°), low angle first:
| 2theta | d_spacing | I/Imax | hkl |
| --- | --- | --- | --- |
| 19.41 | 4.574 | 281 | 0 1 2 |
| 23.26 | 3.824 | 1000 | 1 0 4 |
| 31.35 | 2.853 | 385 | 1 1 0 |
| 33.34 | 2.687 | 143 | 0 0 9 |
| 34.83 | 2.576 | 253 | 0 1 8 |
| 38.68 | 2.328 | 366 | 1 1 6 |
| 39.40 | 2.287 | 189 | 0 2 4 |
| 51.19 | 1.784 | 182 | 3 -1 4 |
| 55.80 | 1.647 | 149 | 3 0 0 |
| 55.92 | 1.644 | 191 | 2 -1 12 |

***

# 2
Structure and calculated powder diffractogram of Al3Cu4Ag (a DFT-relaxed cell (GGA-PBE, Alexandria); copper Kα).
No peak broadening, texture or thermal motion is included.

Cell and atoms:
Cell lengths 8.6278, 5.6376, 4.5292 Å; angles 90.00, 90.00, 90.00 degrees
Space group Pmma (No. 51)
One atom of each set of equivalent atoms:
1 Al 0.0000 0.0000 0.0000
2 Al 0.2500 0.0000 0.3777
3 Al 0.2500 0.5000 0.3926
4 Cu 0.0000 0.2374 0.5000
5 Cu 0.2500 0.2336 0.8624
6 Ag 0.0000 0.5000 0.0000

The 10 most intense peaks (10° ≤ 2θ ≤ 80°), low angle first:
| 2theta | d_spacing | I/Imax | hkl |
| --- | --- | --- | --- |
| 32.78 | 2.732 | 155 | 2 1 1 |
| 39.06 | 2.306 | 159 | 1 2 1 |
| 39.81 | 2.265 | 135 | 0 0 2 |
| 41.21 | 2.190 | 127 | 1 0 2 |
| 41.88 | 2.157 | 371 | 4 0 0 |
| 43.23 | 2.093 | 1000 | 2 2 1 |
| 45.22 | 2.005 | 229 | 2 0 2 |
| 49.54 | 1.840 | 107 | 3 2 1 |
| 70.79 | 1.331 | 129 | 0 2 3 |
| 77.43 | 1.233 | 162 | 6 2 1 |

***

# 3
Structure and calculated powder diffractogram of Al4Cu2Ag (a DFT-relaxed cell (GGA-PBE, Alexandria); copper Kα).
No peak broadening, texture or thermal motion is included.

Cell and atoms:
Cell lengths 4.8202, 4.8202, 12.1760 Å; angles 90.00, 90.00, 90.00 degrees
Space group I4/mmm (No. 139)
One atom of each set of equivalent atoms:
1 Al 0.0000 0.0000 0.2075
2 Al 0.0000 0.5000 0.0000
3 Cu 0.0000 0.0000 0.4013
4 Ag 0.0000 0.0000 0.0000

The 10 most intense peaks (10° ≤ 2θ ≤ 80°), low angle first:
| 2theta | d_spacing | I/Imax | hkl |
| --- | --- | --- | --- |
| 14.55 | 6.088 | 859 | 0 0 2 |
| 26.15 | 3.408 | 1000 | 1 1 0 |
| 28.76 | 3.105 | 317 | 1 0 3 |
| 37.31 | 2.410 | 791 | 2 0 0 |
| 40.24 | 2.241 | 268 | 2 0 2 |
| 41.55 | 2.174 | 826 | 1 0 5 |
| 53.79 | 1.704 | 261 | 2 2 0 |
| 57.06 | 1.614 | 617 | 2 1 5 |
| 60.76 | 1.524 | 171 | 3 1 0 |
| 70.18 | 1.341 | 160 | 3 0 5 |

***

# 4
Structure and calculated powder diffractogram of Dy2Al3Cu12Ag (a DFT-relaxed cell (GGA-PBE, Alexandria); copper Kα).
No peak broadening, texture or thermal motion is included.

Cell and atoms:
Cell lengths 5.9675, 5.9675, 29.2176 Å; angles 90.00, 90.00, 120.00 degrees
Space group R-3m (No. 166, hexagonal axes)
One atom of each set of equivalent atoms:
1 Dy 0.0000 0.0000 0.1415
2 Al 0.0000 0.5000 0.0000
3 Cu 0.0377 0.5189 0.8959
4 Cu 0.0671 0.5336 0.6176
5 Ag 0.0000 0.0000 0.5000

The 10 most intense peaks (10° ≤ 2θ ≤ 80°), low angle first:
| 2theta | d_spacing | I/Imax | hkl |
| --- | --- | --- | --- |
| 31.36 | 2.853 | 853 | 1 1 3 |
| 35.28 | 2.544 | 1000 | 1 0 10 |
| 36.90 | 2.436 | 944 | 0 2 4 |
| 38.09 | 2.362 | 781 | 0 1 11 |
| 42.87 | 2.109 | 829 | 2 0 8 |
| 46.95 | 1.935 | 357 | 0 1 14 |
| 51.67 | 1.769 | 331 | 2 1 7 |
| 54.06 | 1.696 | 404 | 0 3 3 |
| 62.23 | 1.492 | 374 | 2 2 0 |
| 65.45 | 1.426 | 401 | 1 2 14 |

***

# 5
Structure and calculated powder diffractogram of ErAlCuAg (a DFT-relaxed cell (GGA-PBE, Alexandria); copper Kα).
No peak broadening, texture or thermal motion is included.

Cell and atoms:
Cell lengths 6.6255, 6.6255, 6.6255 Å; angles 90.00, 90.00, 90.00 degrees
Space group F-43m (No. 216)
One atom of each set of equivalent atoms:
1 Er 0.0000 0.0000 0.0000
2 Al 0.0000 0.0000 0.5000
3 Cu 0.2500 0.2500 0.7500
4 Ag 0.2500 0.2500 0.2500

The 7 most intense peaks (10° ≤ 2θ ≤ 80°), low angle first:
| 2theta | d_spacing | I/Imax | hkl |
| --- | --- | --- | --- |
| 23.25 | 3.825 | 361 | 1 1 1 |
| 38.43 | 2.342 | 1000 | 2 2 0 |
| 45.40 | 1.998 | 189 | 3 1 1 |
| 55.48 | 1.656 | 167 | 4 0 0 |
| 60.95 | 1.520 | 79 | 3 3 1 |
| 69.50 | 1.352 | 334 | 4 2 2 |
| 74.40 | 1.275 | 59 | 5 1 1 |

***

# 6
Structure and calculated powder diffractogram of Er4AlCuAg2 (a DFT-relaxed cell (GGA-PBE, Alexandria); copper Kα).
No peak broadening, texture or thermal motion is included.

Cell and atoms:
Cell lengths 5.0433, 5.0433, 24.6932 Å; angles 90.00, 90.00, 120.00 degrees
Space group R-3m (No. 166, hexagonal axes)
One atom of each set of equivalent atoms:
1 Er 0.0000 0.0000 0.1204
2 Er 0.0000 0.0000 0.3714
3 Al 0.0000 0.0000 0.5000
4 Cu 0.0000 0.0000 0.0000
5 Ag 0.0000 0.0000 0.2446

The 10 most intense peaks (10° ≤ 2θ ≤ 80°), low angle first:
| 2theta | d_spacing | I/Imax | hkl |
| --- | --- | --- | --- |
| 21.59 | 4.117 | 41 | 0 0 6 |
| 24.97 | 3.565 | 147 | 1 0 4 |
| 35.61 | 2.521 | 1000 | 1 1 0 |
| 42.02 | 2.150 | 20 | 1 1 6 |
| 43.99 | 2.059 | 45 | 0 2 4 |
| 49.07 | 1.857 | 21 | 1 1 9 |
| 51.24 | 1.783 | 171 | 2 0 8 |
| 57.83 | 1.595 | 62 | 2 1 4 |
| 63.96 | 1.456 | 341 | 3 0 0 |
| 75.40 | 1.261 | 103 | 2 2 0 |